Calculated XRD peak list of Cr2CuAsO6 for a wavelength of 1.5418 Å, from the PBE+U geometry in Alexandria.

Largest 10 diffraction maxima, by angle, 2θ = 10–90°:
19.02 deg, rel. 23.3
23.82 deg, rel. 23.8
32.64 deg, rel. 100.0
35.18 deg, rel. 93.2
38.05 deg, rel. 23.5
40.29 deg, rel. 31.4
48.75 deg, rel. 37.2
53.21 deg, rel. 24.9
61.53 deg, rel. 32.7
63.12 deg, rel. 36.3

Atomic structure:
```
Cr2CuAsO6
1.0
2.5511 1.4729 4.6654
-2.5511 1.4729 4.6654
0.0000 -2.9457 4.6654
Cr Cu As O
2 1 1 6
direct
0.0000 0.0000 0.0000
0.4909 0.4909 0.4909
0.2460 0.2460 0.2460
0.8025 0.8025 0.8025
0.0659 0.4273 0.7296
0.1930 0.8687 0.6244
0.4273 0.7296 0.0659
0.6244 0.1930 0.8687
0.7296 0.0659 0.4273
0.8687 0.6244 0.1930
```